Diffraction record for WSe3. The X-ray powder pattern is calculated, not measured: it uses a cell relaxed with GGA-PBE and Cu Kα, 1.54184 Å.

Crystal structure
Cell: 6.7907 5.7440 12.3367 Å, 90.00 115.96 90.00°
Space group P2_1/c (No. 14)
Inequivalent atoms, fractional coordinates:
W: 0.0700 0.0047 0.2662 (multiplicity 4)
Se: 0.0006 0.7466 0.5866 (multiplicity 4)
Se: 0.2963 0.7192 0.4033 (multiplicity 4)
Se: 0.2977 0.2099 0.7397 (multiplicity 4)

Main lines, low angle first (2θ from 10° to 80°):
d 6.105, 2θ 14.5, I = 100, hkl 1 0 0; d 5.546, 2θ 16.0, I = 76, hkl 0 0 2; d 5.465, 2θ 16.2, I = 68, hkl 1 0 -2; d 2.942, 2θ 30.4, I = 35, hkl 1 1 2; d 2.906, 2θ 30.8, I = 33, hkl 2 1 -2; d 2.717, 2θ 33.0, I = 30, hkl 1 1 -4; d 2.186, 2θ 41.3, I = 27, hkl 2 2 -2; d 2.102, 2θ 43.0, I = 31, hkl 1 2 -4

***

Diffraction record for Tl2AgBrCl3. The X-ray powder pattern is calculated, not measured: it uses a cell relaxed with GGA-PBE and Cu Kα, 1.54184 Å.

Crystal structure
Cell: 4.2332 10.6167 10.2885 Å, 90.00 90.00 90.00°
Space group Amm2 (No. 38)
Inequivalent atoms, fractional coordinates:
Tl: 0.0000 0.2414 0.0000 (multiplicity 4)
Ag: 0.5000 0.0000 0.2513 (multiplicity 2)
Br: 0.5000 0.0000 0.5029 (multiplicity 2)
Cl: 0.5000 0.0000 0.0102 (multiplicity 2)
Cl: 0.5000 0.2318 0.2506 (multiplicity 4)

Main lines, low angle first (2θ from 10° to 80°):
d 5.144, 2θ 17.2, I = 50, hkl 0 0 2; d 3.694, 2θ 24.1, I = 42, hkl 0 2 2; d 3.310, 2θ 26.9, I = 100, hkl 1 2 0; d 3.268, 2θ 27.3, I = 73, hkl 1 0 2; d 2.783, 2θ 32.2, I = 91, hkl 1 2 2; d 2.654, 2θ 33.8, I = 42, hkl 0 4 0; d 2.572, 2θ 34.9, I = 40, hkl 0 0 4; d 2.031, 2θ 44.6, I = 54, hkl 1 2 4

***

Diffraction record for CsRbPt3. The X-ray powder pattern is calculated, not measured: it uses a cell relaxed with GGA-PBE and Cu Kα, 1.54184 Å.

Crystal structure
Cell: 4.5732 5.2534 11.4800 Å, 90.00 90.00 90.00°
Space group Imm2 (No. 44)
Inequivalent atoms, fractional coordinates:
Cs: 0.0000 0.0000 0.0000 (multiplicity 2)
Rb: 0.0000 0.0000 0.4046 (multiplicity 2)
Pt: 0.0000 0.2547 0.7070 (multiplicity 4)
Pt: 0.0000 0.5000 0.2084 (multiplicity 2)

Main lines, low angle first (2θ from 10° to 80°):
d 5.740, 2θ 15.4, I = 100, hkl 0 0 2; d 3.093, 2θ 28.9, I = 37, hkl 0 1 3; d 2.957, 2θ 30.2, I = 78, hkl 1 1 2; d 2.935, 2θ 30.5, I = 34, hkl 1 0 3; d 2.870, 2θ 31.2, I = 53, hkl 0 0 4; d 2.287, 2θ 39.4, I = 41, hkl 2 0 0; d 2.234, 2θ 40.4, I = 100, hkl 1 2 1; d 1.617, 2θ 56.9, I = 56, hkl 1 2 5

***

Diffraction record for KLuFeS3. The X-ray powder pattern is calculated, not measured: it uses a cell relaxed with GGA-PBE and Cu Kα, 1.54184 Å.

Crystal structure
Cell: 8.5605 3.8793 9.4409 Å, 90.00 109.00 90.00°
Space group P2_1/m (No. 11)
Inequivalent atoms, fractional coordinates:
K: 0.2188 0.2500 0.2472 (multiplicity 2)
Lu: 0.3310 0.7500 0.8558 (multiplicity 2)
Fe: 0.0752 0.2500 0.5931 (multiplicity 2)
S: 0.1070 0.2500 0.8425 (multiplicity 2)
S: 0.2079 0.7500 0.5439 (multiplicity 2)
S: 0.4577 0.7500 0.1504 (multiplicity 2)

Main lines, low angle first (2θ from 10° to 80°):
d 7.293, 2θ 12.1, I = 100, hkl 1 0 -1; d 3.647, 2θ 24.4, I = 14, hkl 2 0 -2; d 3.112, 2θ 28.7, I = 13, hkl 1 1 1; d 2.975, 2θ 30.0, I = 13, hkl 0 0 3; d 2.863, 2θ 31.2, I = 30, hkl 2 1 -1; d 2.801, 2θ 32.0, I = 24, hkl 2 1 0; d 2.442, 2θ 36.8, I = 15, hkl 1 1 -3; d 1.976, 2θ 45.9, I = 14, hkl 2 1 -4

***

Diffraction record for AcNi2Sn2. The X-ray powder pattern is calculated, not measured: it uses a cell relaxed with GGA-PBE and Cu Kα, 1.54184 Å.

Crystal structure
Cell: 5.9561 11.3475 7.2202 Å, 90.00 114.13 90.00°
Space group C2/c (No. 15)
Inequivalent atoms, fractional coordinates:
Ac: 0.0000 0.1246 0.2500 (multiplicity 4)
Ni: 0.1011 0.3751 0.9479 (multiplicity 8)
Sn: 0.0000 0.1817 0.7500 (multiplicity 4)
Sn: 0.0000 0.4315 0.2500 (multiplicity 4)

Main lines, low angle first (2θ from 10° to 80°):
d 3.375, 2θ 26.4, I = 21, hkl 1 1 1; d 3.295, 2θ 27.1, I = 42, hkl 0 0 2; d 3.103, 2θ 28.8, I = 59, hkl 1 3 -1; d 2.837, 2θ 31.5, I = 33, hkl 0 4 0; d 2.714, 2θ 33.0, I = 100, hkl 2 0 -2; d 2.583, 2θ 34.7, I = 76, hkl 1 3 1; d 2.033, 2θ 44.6, I = 55, hkl 1 3 -3; d 1.961, 2θ 46.3, I = 27, hkl 2 4 -2

***

Diffraction record for KCuS. The X-ray powder pattern is calculated, not measured: it uses a cell relaxed with GGA-PBE and Cu Kα, 1.54184 Å.

Crystal structure
Cell: 9.4281 3.9891 6.9008 Å, 90.00 90.00 90.00°
Space group Pnma (No. 62)
Inequivalent atoms, fractional coordinates:
K: 0.9998 0.2500 0.2482 (multiplicity 4)
Cu: 0.2490 0.2500 0.5907 (multiplicity 4)
S: 0.2489 0.7500 0.4238 (multiplicity 4)

Main lines, low angle first (2θ from 10° to 80°):
d 4.714, 2θ 18.8, I = 29, hkl 2 0 0; d 3.242, 2θ 27.5, I = 16, hkl 1 0 2; d 2.785, 2θ 32.1, I = 100, hkl 2 1 1; d 2.357, 2θ 38.2, I = 24, hkl 4 0 0; d 1.993, 2θ 45.5, I = 42, hkl 0 2 0; d 1.621, 2θ 56.8, I = 17, hkl 2 0 4; d 1.522, 2θ 60.9, I = 33, hkl 4 2 0; d 1.258, 2θ 75.6, I = 13, hkl 2 2 4

***

Diffraction record for ZnPH11C7NO4. The X-ray powder pattern is calculated, not measured: it uses a cell relaxed with GGA-PBE and Cu Kα, 1.54184 Å.

Crystal structure
Cell: 5.0672 8.5246 11.5546 Å, 69.91 78.96 84.03°
Space group P-1 (No. 2)
Inequivalent atoms, fractional coordinates:
Zn: 0.2314 0.1010 0.1045 (multiplicity 2)
P: 0.2049 0.7672 0.0597 (multiplicity 2)
H: 0.0294 0.6546 0.3812 (multiplicity 2)
H: 0.2226 0.1690 0.7578 (multiplicity 2)
H: 0.2374 0.7022 0.8175 (multiplicity 2)
H: 0.2548 0.5124 0.2277 (multiplicity 2)
H: 0.2987 0.5418 0.4568 (multiplicity 2)
H: 0.3040 0.1750 0.5163 (multiplicity 2)
H: 0.3270 0.4807 0.0800 (multiplicity 2)
H: 0.3569 0.5526 0.6608 (multiplicity 2)
H: 0.4067 0.0407 0.3475 (multiplicity 2)
H: 0.4329 0.4210 0.8737 (multiplicity 2)
H: 0.4727 0.8104 0.2502 (multiplicity 2)
C: 0.0354 0.6778 0.5593 (multiplicity 2)
C: 0.0844 0.5789 0.4720 (multiplicity 2)
C: 0.1232 0.7249 0.7420 (multiplicity 2)
C: 0.1795 0.2043 0.4436 (multiplicity 2)
C: 0.1906 0.6452 0.6536 (multiplicity 2)
C: 0.2376 0.1306 0.3512 (multiplicity 2)
C: 0.3527 0.5643 0.1304 (multiplicity 2)
N: 0.0909 0.1672 0.2585 (multiplicity 2)
O: 0.0767 0.2549 0.9632 (multiplicity 2)
O: 0.1839 0.8593 0.1573 (multiplicity 2)
O: 0.3823 0.8583 0.9348 (multiplicity 2)
O: 0.3889 0.2013 0.6977 (multiplicity 2)

Main lines, low angle first (2θ from 10° to 80°):
d 7.999, 2θ 11.1, I = 94, hkl 0 1 0; d 5.581, 2θ 15.9, I = 100, hkl 0 1 -1; d 4.825, 2θ 18.4, I = 41, hkl 1 0 1; d 3.993, 2θ 22.3, I = 56, hkl 1 0 2; d 3.609, 2θ 24.7, I = 52, hkl 1 1 -1; d 3.371, 2θ 26.4, I = 48, hkl 1 0 -2; d 3.250, 2θ 27.4, I = 52, hkl 0 2 3; d 3.181, 2θ 28.1, I = 50, hkl 1 2 0

***

Diffraction record for Hf2InC. The X-ray powder pattern is calculated, not measured: it uses a cell relaxed with GGA-PBE and Cu Kα, 1.54184 Å.

Crystal structure
Cell: 3.3217 3.3217 14.8838 Å, 90.00 90.00 120.00°
Space group P-3m1 (No. 164)
Inequivalent atoms, fractional coordinates:
Hf: 0.3333 0.6667 0.0817 (multiplicity 2)
Hf: 0.3333 0.6667 0.4181 (multiplicity 2)
In: 0.3333 0.6667 0.7504 (multiplicity 2)
C: 0.0000 0.0000 0.0000 (multiplicity 1)
C: 0.0000 0.0000 0.5000 (multiplicity 1)

Main lines, low angle first (2θ from 10° to 80°):
d 7.442, 2θ 11.9, I = 8, hkl 0 0 2; d 2.877, 2θ 31.1, I = 22, hkl 1 0 0; d 2.489, 2θ 36.1, I = 100, hkl 1 0 3; d 2.481, 2θ 36.2, I = 21, hkl 0 0 6; d 1.879, 2θ 48.5, I = 16, hkl 1 0 6; d 1.661, 2θ 55.3, I = 20, hkl 1 1 0; d 1.434, 2θ 65.1, I = 18, hkl 0 1 9; d 1.381, 2θ 67.9, I = 36, hkl 1 1 6